# Sn4Ir
Computed powder diffractogram, Cu Ka. Input: a PBE-relaxed structure.
Intensities are scaled so that the largest is 100.

abc: 6.586 6.586 6.370
angles: 90.00 90.00 121.98
Atoms (fractional coordinates):
Sn (0.049, 0.296, 0.077)
Sn (0.204, 0.451, 0.577)
Sn (0.296, 0.049, 0.577)
Sn (0.451, 0.204, 0.077)
Sn (0.549, 0.796, 0.923)
Sn (0.704, 0.951, 0.423)
Sn (0.796, 0.549, 0.423)
Sn (0.951, 0.704, 0.923)
Ir (0.250, 0.750, 0.250)
Ir (0.750, 0.250, 0.750)

Peak list (10 most intense, 2θ from 10° to 90°, low angle first)
| two_theta | d_spacing | intensity |
| --- | --- | --- |
| 15.38 | 5.760 | 46 |
| 21.15 | 4.200 | 36 |
| 30.58 | 2.924 | 79 |
| 32.08 | 2.790 | 37 |
| 32.36 | 2.767 | 62 |
| 35.08 | 2.558 | 99 |
| 42.28 | 2.137 | 100 |
| 45.60 | 1.989 | 46 |
| 45.71 | 1.985 | 45 |
| 66.82 | 1.400 | 36 |